Record 1
Diffraction record for Zr2N2O. The powder diffractogram is calculated, not measured: it uses a crystal structure in the Materials Project, relaxed with PBE and Cu Kα (λ = 1.5418 Å).

Structural model:
Cell lengths 8.867, 8.876, 8.878 Å; angles 109.66, 109.36, 109.34 degrees
Fractional positions:
Zr 0.000 0.000 0.000
Zr 0.009 0.502 0.500
Zr 0.050 0.727 0.255
Zr 0.216 0.184 0.474
Zr 0.245 0.468 0.207
Zr 0.267 0.978 0.721
Zr 0.303 0.761 0.977
Zr 0.479 0.230 0.187
Zr 0.497 0.430 0.932
Zr 0.501 0.941 0.431
Zr 0.533 0.711 0.755
Zr 0.719 0.679 0.468
Zr 0.745 0.468 0.709
Zr 0.758 0.973 0.221
Zr 0.792 0.260 0.968
Zr 0.969 0.224 0.686
N 0.015 0.463 0.253
N 0.029 0.230 0.949
N 0.220 0.208 0.732
N 0.241 0.694 0.170
N 0.286 0.731 0.705
N 0.298 0.978 0.492
N 0.482 0.436 0.670
N 0.495 0.485 0.189
N 0.520 0.702 0.993
N 0.528 0.016 0.232
N 0.529 0.195 0.957
N 0.713 0.200 0.685
N 0.725 0.428 0.449
N 0.801 0.746 0.754
N 0.980 0.923 0.203
N 0.991 0.243 0.449
O 0.030 0.506 0.769
O 0.211 0.963 0.950
O 0.268 0.243 0.264
O 0.487 0.714 0.492
O 0.745 0.008 0.985
O 0.767 0.934 0.456
O 0.789 0.515 0.990
O 0.979 0.749 0.481

Peak list (12 most intense, 10 to 80 degrees two-theta, low angle first)
2θ (°)  Rel. int.
21.2  13.4
30.2  100.0
35.0  18.2
35.1  10.0
37.2  5.5
41.3  5.1
45.1  8.1
50.3  24.7
50.4  12.7
59.8  16.7
60.0  9.5
61.3  4.3

***

Record 2
Diffraction record for BSBr. The powder diffractogram is calculated, not measured: it uses a crystal structure in the Materials Project, relaxed with PBE and Cu Kα (λ = 1.5418 Å).

Structural model:
Cell lengths 14.640, 4.821, 18.729 Å; angles 90.00, 115.17, 90.00 degrees
Fractional positions:
B 0.129 0.250 0.167
B 0.129 0.250 0.667
B 0.262 0.028 0.099
B 0.262 0.472 0.599
B 0.327 0.020 0.270
B 0.327 0.480 0.770
B 0.673 0.520 0.230
B 0.673 0.980 0.730
B 0.738 0.528 0.401
B 0.738 0.972 0.901
B 0.871 0.750 0.333
B 0.871 0.750 0.833
S 0.141 0.187 0.076
S 0.141 0.313 0.576
S 0.215 0.181 0.268
S 0.215 0.319 0.768
S 0.363 0.571 0.692
S 0.363 0.929 0.192
S 0.637 0.071 0.808
S 0.637 0.429 0.308
S 0.785 0.681 0.232
S 0.785 0.819 0.732
S 0.859 0.687 0.424
S 0.859 0.813 0.924
Br 0.004 0.077 0.653
Br 0.004 0.423 0.153
Br 0.288 0.551 0.508
Br 0.288 0.949 0.008
Br 0.428 0.570 0.875
Br 0.428 0.930 0.375
Br 0.572 0.070 0.625
Br 0.572 0.430 0.125
Br 0.712 0.051 0.992
Br 0.712 0.449 0.492
Br 0.996 0.577 0.847
Br 0.996 0.923 0.347

Peak list (12 most intense, 10 to 80 degrees two-theta, low angle first)
2θ (°)  Rel. int.
19.5  46.0
20.2  24.9
21.0  21.8
21.2  16.5
22.1  100.0
22.8  21.9
24.3  60.0
27.0  22.0
29.4  67.9
30.8  23.8
42.7  26.3
47.6  17.0

***

Record 3
Diffraction record for U2N3. The powder diffractogram is calculated, not measured: it uses a crystal structure in the Materials Project, relaxed with PBE and Cu Kα (λ = 1.5418 Å).

Structural model:
Cell lengths 3.693, 3.693, 5.770 Å; angles 90.00, 90.00, 120.00 degrees
Fractional positions:
U 0.333 0.667 0.258
U 0.667 0.333 0.742
N 0.000 0.000 0.500
N 0.333 0.667 0.857
N 0.667 0.333 0.143

Peak list (12 most intense, 10 to 80 degrees two-theta, low angle first)
2θ (°)  Rel. int.
27.9  26.0
31.0  25.5
32.0  100.0
42.2  21.1
49.4  26.2
55.8  24.5
57.6  3.6
59.4  25.6
60.0  17.9
66.9  5.4
71.8  3.7
77.7  9.8

***

Record 4
Diffraction record for SrZrO3. The powder diffractogram is calculated, not measured: it uses a crystal structure in the Materials Project, relaxed with PBE and Cu Kα (λ = 1.5418 Å).

Structural model:
Cell lengths 4.177, 4.177, 4.275 Å; angles 90.00, 90.00, 90.00 degrees
Fractional positions:
Sr 0.000 0.000 0.000
Zr 0.500 0.500 0.446
O 0.000 0.500 0.392
O 0.500 0.000 0.392
O 0.500 0.500 0.920

Peak list (12 most intense, 10 to 80 degrees two-theta, low angle first)
2θ (°)  Rel. int.
29.9  100.0
30.3  49.5
42.3  15.0
43.3  35.1
52.9  20.9
53.5  39.0
62.1  17.6
62.9  10.6
69.7  7.3
71.2  8.4
71.4  8.5
78.8  8.5

***

Record 5
Diffraction record for LaSb12Ru4. The powder diffractogram is calculated, not measured: it uses a crystal structure in the Materials Project, relaxed with PBE and Cu Kα (λ = 1.5418 Å).

Structural model:
Cell lengths 8.136, 8.136, 8.136 Å; angles 109.47, 109.47, 109.47 degrees
Fractional positions:
La 0.000 0.000 0.000
Sb 0.158 0.498 0.340
Sb 0.158 0.819 0.660
Sb 0.181 0.340 0.842
Sb 0.340 0.158 0.498
Sb 0.340 0.842 0.181
Sb 0.498 0.340 0.158
Sb 0.502 0.660 0.842
Sb 0.660 0.158 0.819
Sb 0.660 0.842 0.502
Sb 0.819 0.660 0.158
Sb 0.842 0.181 0.340
Sb 0.842 0.502 0.660
Ru 0.000 0.000 0.500
Ru 0.000 0.500 0.000
Ru 0.500 0.000 0.000
Ru 0.500 0.500 0.500

Peak list (12 most intense, 10 to 80 degrees two-theta, low angle first)
2θ (°)  Rel. int.
30.1  100.0
35.8  45.6
43.1  23.1
47.4  32.1
49.5  27.7
57.2  13.5
59.0  7.4
62.5  6.5
67.6  17.8
69.3  5.6
70.9  5.5
77.4  8.7

***

Record 6
Diffraction record for Sr2Mg. The powder diffractogram is calculated, not measured: it uses a crystal structure in the Materials Project, relaxed with PBE and Cu Kα (λ = 1.5418 Å).

Structural model:
Cell lengths 6.876, 6.876, 6.291 Å; angles 90.00, 90.00, 120.00 degrees
Fractional positions:
Sr 0.000 0.000 0.000
Sr 0.000 0.645 0.500
Sr 0.355 0.355 0.500
Sr 0.645 0.000 0.500
Mg 0.333 0.667 0.000
Mg 0.667 0.333 0.000

Peak list (12 most intense, 10 to 80 degrees two-theta, low angle first)
2θ (°)  Rel. int.
14.1  11.9
20.5  13.2
25.9  28.8
28.4  24.7
29.6  100.0
38.8  19.7
45.7  18.3
51.0  21.4
54.7  21.3
55.4  15.4
74.6  11.9
77.4  7.6

***

Record 7
Diffraction record for YGa3Cu. The powder diffractogram is calculated, not measured: it uses a crystal structure in the Materials Project, relaxed with PBE and Cu Kα (λ = 1.5418 Å).

Structural model:
Cell lengths 4.086, 4.086, 10.776 Å; angles 90.00, 90.00, 90.00 degrees
Fractional positions:
Y 0.000 0.000 0.000
Y 0.500 0.500 0.500
Ga 0.000 0.000 0.387
Ga 0.000 0.000 0.613
Ga 0.000 0.500 0.250
Ga 0.500 0.000 0.750
Ga 0.500 0.500 0.113
Ga 0.500 0.500 0.887
Cu 0.000 0.500 0.750
Cu 0.500 0.000 0.250

Peak list (12 most intense, 10 to 80 degrees two-theta, low angle first)
2θ (°)  Rel. int.
30.9  9.8
33.2  56.0
35.2  100.0
44.3  57.7
46.1  26.6
47.7  32.4
56.5  25.0
60.7  8.7
64.5  18.0
67.2  22.6
69.8  6.2
75.7  19.7

***

Record 8
Diffraction record for TlIn. The powder diffractogram is calculated, not measured: it uses a crystal structure in the Materials Project, relaxed with PBE and Cu Kα (λ = 1.5418 Å).

Structural model:
Cell lengths 3.465, 3.465, 16.733 Å; angles 90.00, 90.00, 120.00 degrees
Fractional positions:
Tl 0.000 0.000 0.000
Tl 0.333 0.667 0.667
Tl 0.667 0.333 0.333
In 0.000 0.000 0.500
In 0.333 0.667 0.167
In 0.667 0.333 0.833

Peak list (12 most intense, 10 to 80 degrees two-theta, low angle first)
2θ (°)  Rel. int.
15.9  11.1
30.3  7.4
31.7  100.0
32.1  32.2
36.9  66.7
52.8  23.7
53.4  23.0
62.9  14.0
63.2  27.6
63.7  13.5
66.2  12.0
78.4  7.5

***

Record 9
Diffraction record for Zr3Cu4Ge2. The powder diffractogram is calculated, not measured: it uses a crystal structure in the Materials Project, relaxed with PBE and Cu Kα (λ = 1.5418 Å).

Structural model:
Cell lengths 6.450, 6.450, 4.029 Å; angles 90.00, 90.00, 120.00 degrees
Fractional positions:
Zr 0.000 0.411 0.000
Zr 0.411 0.000 0.000
Zr 0.589 0.589 0.000
Cu 0.000 0.000 0.000
Cu 0.000 0.761 0.500
Cu 0.239 0.239 0.500
Cu 0.761 0.000 0.500
Ge 0.333 0.667 0.500
Ge 0.667 0.333 0.500

Peak list (12 most intense, 10 to 80 degrees two-theta, low angle first)
2θ (°)  Rel. int.
35.7  100.0
39.2  97.8
42.8  44.2
45.0  36.5
48.7  26.3
48.9  24.0
63.9  25.3
64.4  16.3
68.6  16.6
76.9  9.8
78.3  21.8
79.1  11.5

***

Record 10
Diffraction record for Sc3P2. The powder diffractogram is calculated, not measured: it uses a crystal structure in the Materials Project, relaxed with PBE and Cu Kα (λ = 1.5418 Å).

Structural model:
Cell lengths 6.926, 3.784, 14.435 Å; angles 90.00, 90.00, 90.00 degrees
Fractional positions:
Sc 0.008 0.250 0.104
Sc 0.134 0.750 0.432
Sc 0.164 0.250 0.722
Sc 0.336 0.750 0.222
Sc 0.366 0.250 0.932
Sc 0.492 0.750 0.604
Sc 0.508 0.250 0.396
Sc 0.634 0.750 0.068
Sc 0.664 0.250 0.778
Sc 0.836 0.750 0.278
Sc 0.866 0.250 0.568
Sc 0.992 0.750 0.896
P 0.128 0.250 0.295
P 0.241 0.750 0.042
P 0.259 0.250 0.542
P 0.372 0.750 0.795
P 0.628 0.250 0.205
P 0.741 0.750 0.458
P 0.759 0.250 0.958
P 0.872 0.750 0.705

Peak list (12 most intense, 10 to 80 degrees two-theta, low angle first)
2θ (°)  Rel. int.
29.6  67.4
31.8  29.5
33.6  28.2
35.7  34.1
35.9  25.3
36.8  29.2
37.3  100.0
39.3  38.3
39.5  23.6
40.0  19.1
41.4  41.8
48.1  40.2

***

Record 11
Diffraction record for CsPH2O4. The powder diffractogram is calculated, not measured: it uses a crystal structure in the Materials Project, relaxed with PBE and Cu Kα (λ = 1.5418 Å).

Structural model:
Cell lengths 4.949, 6.589, 8.039 Å; angles 90.00, 107.82, 90.00 degrees
Fractional positions:
Cs 0.051 0.250 0.268
Cs 0.949 0.750 0.732
P 0.468 0.250 0.770
P 0.532 0.750 0.230
H 0.172 0.750 0.345
H 0.500 0.000 0.000
H 0.500 0.500 0.000
H 0.828 0.250 0.655
O 0.150 0.250 0.682
O 0.388 0.750 0.383
O 0.420 0.556 0.120
O 0.420 0.944 0.120
O 0.580 0.056 0.880
O 0.580 0.444 0.880
O 0.612 0.250 0.617
O 0.850 0.750 0.318

Peak list (12 most intense, 10 to 80 degrees two-theta, low angle first)
2θ (°)  Rel. int.
17.8  13.8
23.2  100.0
25.1  15.4
27.1  23.1
28.5  35.8
33.2  13.1
36.0  21.3
37.1  17.4
37.2  10.1
38.2  12.9
47.5  13.1
59.1  9.1